The following is a calculated X-ray powder pattern of Fe4S5. It was derived from a DFT-relaxed cell (GGA-PBE, Alexandria), using Cu Kα (weighted mean of Kα1 and Kα2).
Lines closer than 0.1° are merged.

abc: 5.6827 7.9192 7.9215
angles: 90.11 90.03 90.08
Space group P-1 (No. 2)
Inequivalent atoms, fractional coordinates:
Fe1 0.0147 0.1533 0.0427
Fe2 0.0146 0.3467 0.4572
Fe3 0.0164 0.4590 0.1523
Fe4 0.0166 0.0411 0.3476
S1 0.2026 0.7502 0.7501
S2 0.2296 0.5488 0.3623
S3 0.2296 0.9518 0.1380
S4 0.2349 0.1396 0.5465
S5 0.2348 0.3610 0.9537

Top 10 peaks for 5° ≤ 2θ ≤ 70°, in order of falling intensity:
| two_theta | I/Imax | index |
| --- | --- | --- |
| 15.59 | 100 | 1 0 0 |
| 48.45 | 43 | 2 3 1 |
| 29.72 | 32 | 1 2 -1 |
| 39.31 | 28 | 1 3 1 |
| 54.23 | 10 | -1 2 4 |
| 51.57 | 9 | 0 4 -2 |
| 51.64 | 9 | 0 2 4 |
| 61.34 | 9 | -3 3 1 |
| 15.82 | 8 | 0 1 1 |
| 22.29 | 8 | 1 1 -1 |